# 1
Calculated powder X-ray diffraction pattern
Compound: PmCo4Ni8
Radiation: Cu Kα (λ = 1.5418 Å)
Structure: DFT lattice parameters and positions (GGA-PBE)

Structural model:
```
PmCo4Ni8
1.0
-4.1495 4.1495 2.3376
4.1495 -4.1495 2.3376
4.1495 4.1495 -2.3376
Pm Co Ni
1 4 8
Cartesian
0.0000 0.0000 0.0000
2.0748 2.0748 -1.1688
2.0748 -2.0748 1.1688
-2.0748 2.0748 1.1688
2.0748 2.0748 1.1688
2.9553 0.0000 0.0000
5.3438 0.0000 0.0000
4.1495 2.2789 0.0000
0.0000 2.9553 0.0000
2.2789 4.1495 0.0000
1.8707 0.0000 2.3376
0.0000 5.3438 0.0000
0.0000 1.8707 2.3376
```

Largest 10 diffraction maxima, by angle, 2θ = 10–90°:
d (Å)  2θ/deg  I (rel.)
2.907  30.8  300
2.381  37.8  463
2.338  38.5  185
2.075  43.6  606
2.065  43.8  1000
2.037  44.5  688
1.828  49.9  315
1.290  73.4  201
1.196  80.3  210
1.190  80.7  188

---

# 2
Calculated powder X-ray diffraction pattern
Compound: DyHf2Co3
Radiation: Cu Kα (λ = 1.5418 Å)
Structure: DFT lattice parameters and positions (GGA-PBE)

Structural model:
```
DyHf2Co3
1.0
3.1751 0.0000 0.0000
0.0000 3.1751 0.0000
0.0000 0.0000 9.8662
Dy Hf Co
1 2 3
Cartesian
0.0000 0.0000 0.0000
0.0000 0.0000 3.3449
0.0000 0.0000 6.5213
1.5875 1.5875 1.9456
1.5875 1.5875 4.9331
1.5875 1.5875 7.9205
```

Largest 10 diffraction maxima, by angle, 2θ = 10–90°:
d (Å)  2θ/deg  I (rel.)
3.289  27.1  170
3.175  28.1  279
2.284  39.4  1000
2.245  40.2  507
1.854  49.1  142
1.588  58.1  169
1.460  63.7  86
1.327  71.1  145
1.304  72.5  325
1.142  84.9  91

---

# 3
Calculated powder X-ray diffraction pattern
Compound: Nd2In5Ni3
Radiation: Cu Kα (λ = 1.5418 Å)
Structure: DFT lattice parameters and positions (GGA-PBE)

Structural model:
```
Nd2In5Ni3
1.0
2.2215 -13.1511 0.0000
2.2215 13.1511 0.0000
0.0000 0.0000 7.2330
Nd In Ni
4 10 6
Cartesian
2.2215 12.4772 3.6165
2.2215 4.5642 3.0635
2.2215 -4.5642 6.6800
2.2215 -12.4772 0.0000
2.2215 10.6355 0.8688
2.2215 7.7269 4.5013
2.2215 7.6100 1.5671
2.2215 3.3222 6.9577
2.2215 1.3603 2.3904
2.2215 -1.3603 6.0069
2.2215 -3.3222 3.3412
2.2215 -7.6100 5.1836
2.2215 -7.7269 0.8848
2.2215 -10.6355 4.4854
2.2215 10.2689 5.3941
2.2215 6.0155 6.6353
2.2215 1.2167 5.1782
2.2215 -1.2167 1.5617
2.2215 -6.0155 3.0187
2.2215 -10.2689 1.7776
```

Largest 10 diffraction maxima, by angle, 2θ = 10–90°:
d (Å)  2θ/deg  I (rel.)
2.789  32.1  263
2.669  33.6  1000
2.472  36.3  195
2.442  36.8  160
2.264  39.8  99
2.221  40.6  289
1.652  55.6  100
1.586  58.2  92
1.463  63.6  117
1.354  69.4  136

---

# 4
Calculated powder X-ray diffraction pattern
Compound: Pr4TlAu3
Radiation: Cu Kα (λ = 1.5418 Å)
Structure: DFT lattice parameters and positions (GGA-PBE)

Structural model:
```
Pr4TlAu3
1.0
3.9592 0.0000 0.0000
0.0000 4.8926 0.0000
0.0000 0.0000 11.6428
Pr Tl Au
4 1 3
Cartesian
0.0000 0.0000 0.0000
0.0000 2.4463 3.0796
1.9796 0.0000 5.5932
1.9796 2.4463 9.0387
0.0000 0.0000 8.2901
0.0000 2.4463 6.2553
1.9796 0.0000 2.4797
1.9796 2.4463 0.5567
```

Largest 10 diffraction maxima, by angle, 2θ = 10–90°:
d (Å)  2θ/deg  I (rel.)
2.976  30.0  1000
2.911  30.7  294
2.502  35.9  338
2.446  36.7  385
2.411  37.3  898
1.980  45.8  208
1.873  48.6  180
1.552  59.6  219
1.539  60.1  186
1.406  66.5  168

---

# 5
Calculated powder X-ray diffraction pattern
Compound: K2In2Pt
Radiation: Cu Kα (λ = 1.5418 Å)
Structure: DFT lattice parameters and positions (GGA-PBE)

Structural model:
```
K2In2Pt
1.0
2.3278 1.3440 10.3989
-2.3278 1.3440 10.3989
0.0000 -2.6880 10.3989
K In Pt
2 2 1
Cartesian
0.0000 0.0000 2.1214
0.0000 0.0000 29.0752
0.0000 0.0000 5.9341
0.0000 0.0000 25.2626
0.0000 0.0000 15.5983
```

Largest 10 diffraction maxima, by angle, 2θ = 10–90°:
d (Å)  2θ/deg  I (rel.)
5.199  17.1  606
3.582  24.9  401
3.466  25.7  313
2.990  29.9  1000
2.467  36.4  477
2.328  38.7  849
2.272  39.7  895
2.125  42.6  381
1.933  47.0  357
1.755  52.1  323

---

# 6
Calculated powder X-ray diffraction pattern
Compound: Ba4Np3AgO12
Radiation: Cu Kα (λ = 1.5418 Å)
Structure: DFT lattice parameters and positions (GGA-PBE)

Structural model:
```
Ba4Np3AgO12
1.0
-4.4092 4.4092 4.4092
4.4092 -4.4092 4.4092
4.4092 4.4092 -4.4092
Ba Np Ag O
4 3 1 12
Cartesian
2.2046 2.2046 -2.2046
2.2046 -2.2046 2.2046
-2.2046 2.2046 2.2046
2.2046 2.2046 2.2046
4.4092 0.0000 0.0000
0.0000 4.4092 0.0000
0.0000 0.0000 4.4092
0.0000 0.0000 0.0000
2.4056 0.0000 0.0000
6.4128 0.0000 0.0000
4.4092 2.2046 0.0000
4.4092 0.0000 2.2046
0.0000 2.4056 0.0000
0.0000 0.0000 2.4056
2.2046 4.4092 0.0000
2.2046 0.0000 4.4092
0.0000 6.4128 0.0000
0.0000 0.0000 6.4128
0.0000 4.4092 2.2046
0.0000 2.2046 4.4092
```

Largest 10 diffraction maxima, by angle, 2θ = 10–90°:
d (Å)  2θ/deg  I (rel.)
6.236  14.2  50
4.409  20.1  88
3.118  28.6  1000
2.205  40.9  277
1.972  46.0  41
1.800  50.7  420
1.559  59.3  179
1.394  67.1  189
1.273  74.6  60
1.178  81.7  223

---

# 7
Calculated powder X-ray diffraction pattern
Compound: Hf5Mg
Radiation: Cu Kα (λ = 1.5418 Å)
Structure: DFT lattice parameters and positions (GGA-PBE)

Structural model:
```
Hf5Mg
1.0
2.2419 -6.6384 0.0000
2.2419 6.6384 0.0000
0.0000 0.0000 4.4572
Hf Mg
5 1
Cartesian
0.0000 0.0000 0.0000
2.2419 4.4000 2.2286
2.2419 2.2220 0.0000
2.2419 -2.2220 0.0000
2.2419 -4.4000 2.2286
2.2419 0.0000 2.2286
```

Largest 10 diffraction maxima, by angle, 2θ = 10–90°:
d (Å)  2θ/deg  I (rel.)
2.572  34.9  1000
2.242  40.2  170
2.229  40.5  167
2.213  40.8  163
1.581  58.4  115
1.575  58.6  113
1.350  69.7  136
1.344  70.0  134
1.337  70.4  131
1.286  73.7  116

---

# 8
Calculated powder X-ray diffraction pattern
Compound: PmInHRh2
Radiation: Cu Kα (λ = 1.5418 Å)
Structure: DFT lattice parameters and positions (GGA-PBE)

Structural model:
```
PmInHRh2
1.0
1.7126 -6.2653 0.0000
1.7126 6.2653 0.0000
0.0000 0.0000 7.8360
Pm In H Rh
2 2 2 4
Cartesian
1.7126 6.0126 5.8770
1.7126 -6.0126 1.9590
1.7126 3.1800 1.9590
1.7126 -3.1800 5.8770
1.7126 0.0000 0.0000
1.7126 0.0000 3.9180
1.7126 1.7096 4.2317
1.7126 1.7096 7.5223
1.7126 -1.7096 0.3137
1.7126 -1.7096 3.6043
```

Largest 10 diffraction maxima, by angle, 2θ = 10–90°:
d (Å)  2θ/deg  I (rel.)
2.649  33.8  655
2.526  35.5  908
2.509  35.8  483
2.447  36.7  1000
2.411  37.3  165
2.049  44.2  286
2.023  44.8  153
1.959  46.4  240
1.713  53.5  213
1.403  66.7  359

---

# 9
Calculated powder X-ray diffraction pattern
Compound: PmCu2Ni
Radiation: Cu Kα (λ = 1.5418 Å)
Structure: DFT lattice parameters and positions (GGA-PBE)

Structural model:
```
PmCu2Ni
1.0
14.7695 0.0000 0.0000
0.0000 6.9305 0.0000
0.0000 0.0000 5.1869
Pm Cu Ni
8 16 8
Cartesian
1.5597 1.7326 1.2031
2.0969 5.1979 2.3897
5.2879 1.7326 4.9831
5.8250 5.1979 3.7965
8.9445 1.7326 1.3904
9.4816 5.1979 0.2037
12.6727 1.7326 2.7972
13.2098 5.1979 3.9838
0.5790 0.4324 3.8860
0.5790 3.0328 3.8860
3.1152 3.8776 4.8514
3.1152 6.5182 4.8514
4.2695 0.4123 2.2580
4.2695 3.0529 2.2580
6.8057 3.8977 1.2925
6.8057 6.4981 1.2925
7.9638 0.4324 3.8943
7.9638 3.0328 3.8943
10.5000 3.8776 2.9289
10.5000 6.5182 2.9289
11.6543 0.4123 0.3354
11.6543 3.0529 0.3354
14.1905 3.8977 1.3009
14.1905 6.4981 1.3009
1.0293 5.1979 5.0819
2.7308 1.7326 3.6617
4.6540 5.1979 1.0682
6.3555 1.7326 2.4884
8.4141 5.1979 2.6985
10.1156 1.7326 4.1186
12.0388 5.1979 1.5252
13.7402 1.7326 0.1050
```

Largest 10 diffraction maxima, by angle, 2θ = 10–90°:
d (Å)  2θ/deg  I (rel.)
3.465  25.7  243
2.684  33.4  353
2.527  35.5  632
2.487  36.1  373
2.407  37.4  293
2.307  39.0  1000
2.224  40.6  399
2.029  44.7  267
1.954  46.5  207
1.527  60.7  203

---

# 10
Calculated powder X-ray diffraction pattern
Compound: HgBi3Pb12
Radiation: Cu Kα (λ = 1.5418 Å)
Structure: DFT lattice parameters and positions (GGA-PBE)

Structural model:
```
HgBi3Pb12
1.0
5.1149 0.0000 0.0000
0.0000 5.1149 0.0000
0.0000 0.0000 19.1849
Hg Bi Pb
1 3 12
Cartesian
0.0000 0.0000 0.0000
0.0000 0.0000 4.6925
0.0000 0.0000 9.5924
0.0000 0.0000 14.4924
0.0000 2.5575 2.3321
0.0000 2.5575 7.1822
0.0000 2.5575 12.0027
0.0000 2.5575 16.8528
2.5575 0.0000 2.3321
2.5575 0.0000 7.1822
2.5575 0.0000 12.0027
2.5575 0.0000 16.8528
2.5575 2.5575 0.0000
2.5575 2.5575 4.7807
2.5575 2.5575 9.5924
2.5575 2.5575 14.4042
```

Largest 10 diffraction maxima, by angle, 2θ = 10–90°:
d (Å)  2θ/deg  I (rel.)
2.888  31.0  1000
2.557  35.1  364
2.398  37.5  150
1.808  50.5  133
1.749  52.3  235
1.533  60.4  312
1.462  63.6  129
1.444  64.5  127
1.169  82.5  68
1.137  85.4  122

---

# 11
Calculated powder X-ray diffraction pattern
Compound: Sm2SiSnPd6
Radiation: Cu Kα (λ = 1.5418 Å)
Structure: DFT lattice parameters and positions (GGA-PBE)

Structural model:
```
Sm2SiSnPd6
1.0
5.5331 0.0000 0.0000
2.6553 5.1593 0.0000
0.1760 2.9627 6.9977
Sm Si Sn Pd
2 1 1 6
Cartesian
0.9317 0.7140 1.5851
7.4327 7.4080 5.4126
1.4157 4.0610 3.4989
4.0942 2.5797 0.0000
1.9389 3.4158 1.2540
2.0739 2.0616 4.5477
3.4676 4.7219 4.5270
4.8968 3.4000 2.4708
6.2906 6.0604 2.4501
6.4255 4.7062 5.7437
```

Largest 10 diffraction maxima, by angle, 2θ = 10–90°:
d (Å)  2θ/deg  I (rel.)
3.499  25.5  330
2.635  34.0  1000
2.461  36.5  337
2.421  37.1  741
2.401  37.5  538
2.376  37.9  723
2.256  40.0  631
2.096  43.2  359
1.781  51.3  208
1.778  51.4  237

---

# 12
Calculated powder X-ray diffraction pattern
Compound: Li2VGa4
Radiation: Cu Kα (λ = 1.5418 Å)
Structure: DFT lattice parameters and positions (GGA-PBE)

Structural model:
```
Li2VGa4
1.0
-2.9364 2.9364 3.1719
2.9364 -2.9364 3.1719
2.9364 2.9364 -3.1719
Li V Ga
2 1 4
Cartesian
2.9364 0.0000 0.0000
0.0000 2.9364 0.0000
0.0000 0.0000 0.0000
1.4682 1.4682 -1.5859
1.4682 -1.4682 1.5859
-1.4682 1.4682 1.5859
1.4682 1.4682 1.5859
```

Largest 10 diffraction maxima, by angle, 2θ = 10–90°:
d (Å)  2θ/deg  I (rel.)
4.310  20.6  138
3.172  28.1  321
2.936  30.4  524
2.155  41.9  1000
2.076  43.6  446
1.737  52.7  223
1.468  63.3  140
1.395  67.1  106
1.260  75.4  164
1.213  78.9  288

---

# 13
Calculated powder X-ray diffraction pattern
Compound: Cs5Rb4Au3
Radiation: Cu Kα (λ = 1.5418 Å)
Structure: DFT lattice parameters and positions (GGA-PBE)

Structural model:
```
Cs5Rb4Au3
1.0
13.2838 -3.5419 0.0000
13.2838 3.5419 0.0000
-2.1156 0.0000 9.8636
Cs Rb Au
5 4 3
Cartesian
0.0000 0.0000 0.0000
8.9937 0.0000 6.9388
10.3365 0.0000 2.1937
14.1154 0.0000 7.6699
15.4583 0.0000 2.9248
5.2841 0.0000 0.8924
4.2205 0.0000 5.7925
20.2315 0.0000 4.0711
19.1679 0.0000 8.9713
7.1512 0.0000 3.8184
13.2838 0.0000 0.0000
17.3008 0.0000 6.0452
```

Largest 10 diffraction maxima, by angle, 2θ = 10–90°:
d (Å)  2θ/deg  I (rel.)
8.794  10.1  532
7.165  12.4  961
6.834  13.0  916
3.656  24.3  1000
3.582  24.9  955
3.542  25.1  967
2.598  34.5  418
2.544  35.3  766
2.519  35.6  748
2.095  43.2  447